Entry 1:
Structure and simulated powder diffractogram of SmY5Ag4 (a DFT-relaxed cell (GGA-PBE, Alexandria); Cu Ka).
Kinematic intensities with the Lorentz-polarization factor, no thermal factor.

Largest 10 diffraction maxima, in order of falling intensity, 2θ from 5° to 70°:
(1 0 5), 33.53°, d = 2.673 Å, I 100
(1 1 0), 35.05°, d = 2.560 Å, I 57
(2 1 5), 61.91°, d = 1.499 Å, I 32
(2 0 0), 50.41°, d = 1.810 Å, I 20
(1 0 6), 36.85°, d = 2.439 Å, I 14
(1 0 4), 30.59°, d = 2.923 Å, I 9
(1 1 10), 58.96°, d = 1.567 Å, I 8
(1 1 11), 63.13°, d = 1.473 Å, I 8
(2 1 6), 64.05°, d = 1.454 Å, I 5
(0 0 10), 45.81°, d = 1.981 Å, I 4

```
data_SmY5Ag4
_space_group_name_H-M_alt 'P 1'
_space_group_IT_number 1
_cell_length_a 3.621
_cell_length_b 3.621
_cell_length_c 19.807
_cell_angle_alpha 90.00
_cell_angle_beta 90.00
_cell_angle_gamma 90.00
loop_
_space_group_symop_operation_xyz
'x,y,z'
loop_
_atom_site_label
_atom_site_type_symbol
_atom_site_fract_x
_atom_site_fract_y
_atom_site_fract_z
_atom_site_occupancy
Sm1 Sm 0.000 0.000 0.000 1
Y1 Y 0.500 0.500 0.128 1
Y2 Y 0.500 0.500 0.313 1
Y3 Y 0.500 0.500 0.500 1
Y4 Y 0.500 0.500 0.687 1
Y5 Y 0.500 0.500 0.872 1
Ag1 Ag 0.000 0.000 0.220 1
Ag2 Ag 0.000 0.000 0.407 1
Ag3 Ag 0.000 0.000 0.593 1
Ag4 Ag 0.000 0.000 0.780 1
```



Entry 2:
Structure and simulated powder diffractogram of Sm5YAg6 (a DFT-relaxed cell (GGA-PBE, Alexandria); Cu Ka).
Kinematic intensities with the Lorentz-polarization factor, no thermal factor.

Largest 10 diffraction maxima, in order of falling intensity, 2θ from 5° to 70°:
(0 0 3), 34.07°, d = 2.631 Å, I 100
(1 2 1), 34.29°, d = 2.615 Å, I 98
(1 2 -2), 34.40°, d = 2.607 Å, I 97
(3 2 0), 61.07°, d = 1.517 Å, I 36
(3 2 -3), 61.26°, d = 1.513 Å, I 35
(0 4 3), 61.69°, d = 1.504 Å, I 35
(2 0 2), 48.80°, d = 1.866 Å, I 18
(2 0 -4), 49.11°, d = 1.855 Å, I 17
(0 4 0), 49.76°, d = 1.832 Å, I 17
(1 0 1), 23.84°, d = 3.732 Å, I 1

```
data_Sm5YAg6
_space_group_name_H-M_alt 'P 1'
_space_group_IT_number 1
_cell_length_a 5.261
_cell_length_b 7.329
_cell_length_c 8.309
_cell_angle_alpha 90.00
_cell_angle_beta 108.12
_cell_angle_gamma 90.00
loop_
_space_group_symop_operation_xyz
'x,y,z'
loop_
_atom_site_label
_atom_site_type_symbol
_atom_site_fract_x
_atom_site_fract_y
_atom_site_fract_z
_atom_site_occupancy
Sm1 Sm 0.000 0.000 0.000 1
Sm2 Sm 0.333 0.000 0.666 1
Sm3 Sm 0.334 0.500 0.668 1
Sm4 Sm 0.666 0.500 0.332 1
Sm5 Sm 0.667 0.000 0.334 1
Y1 Y 0.000 0.500 0.000 1
Ag1 Ag 0.165 0.252 0.330 1
Ag2 Ag 0.165 0.748 0.330 1
Ag3 Ag 0.500 0.254 0.000 1
Ag4 Ag 0.500 0.746 0.000 1
Ag5 Ag 0.835 0.252 0.670 1
Ag6 Ag 0.835 0.748 0.670 1
```